1.
Starting from a structure optimized by DFT (GGA-PBE), the powder diffractogram of ErTeN3 was simulated for CuKα.
Intensities are scaled so that the largest is 100.

Largest 12 diffraction maxima, by angle, 2θ = 10–90°:
- 2θ 16.60, I 28
- 2θ 23.23, I 33
- 2θ 23.86, I 45
- 2θ 29.17, I 100
- 2θ 32.87, I 28
- 2θ 33.53, I 55
- 2θ 33.97, I 36
- 2θ 34.22, I 26
- 2θ 44.88, I 20
- 2θ 48.76, I 18
- 2θ 55.02, I 28
- 2θ 55.20, I 19

Atomic structure:
```
ErTeN3
1.0
5.788 0.000 0.000
0.000 3.735 0.000
-2.671 0.000 7.460
Er Te N
2 2 6
Direct
0.046 0.250 0.322
0.954 0.750 0.678
0.486 0.250 0.820
0.514 0.750 0.180
0.180 0.250 0.620
0.221 0.750 0.237
0.386 0.750 0.893
0.614 0.250 0.107
0.779 0.250 0.763
0.820 0.750 0.380
```



2.
Starting from a structure optimized by DFT (GGA-PBE), the powder diffractogram of TbEr2Cd3Au3 was simulated for CuKα.
Intensities are scaled so that the largest is 100.

Largest 12 diffraction maxima, by angle, 2θ = 10–90°:
- 2θ 22.86, I 10
- 2θ 26.40, I 12
- 2θ 32.52, I 70
- 2θ 35.22, I 100
- 2θ 40.11, I 16
- 2θ 40.23, I 32
- 2θ 42.41, I 34
- 2θ 46.55, I 21
- 2θ 59.72, I 11
- 2θ 63.15, I 25
- 2θ 64.89, I 21
- 2θ 65.06, I 10

Atomic structure:
```
TbEr2Cd3Au3
1.0
3.902 0.000 0.000
0.000 6.744 3.879
0.000 -6.744 3.879
Tb Er Cd Au
1 2 3 3
Direct
0.000 0.000 0.000
0.000 0.403 0.806
0.000 0.806 0.403
0.500 0.140 0.403
0.500 0.403 0.140
0.500 0.665 0.665
0.000 0.404 0.404
0.500 0.070 0.734
0.500 0.734 0.070
```



3.
Starting from a structure optimized by DFT (GGA-PBE), the powder diffractogram of Tm3Mg3AlCdHg was simulated for CuKα.
Intensities are scaled so that the largest is 100.

Largest 12 diffraction maxima, by angle, 2θ = 10–90°:
- 2θ 19.62, I 36
- 2θ 24.13, I 34
- 2θ 27.95, I 43
- 2θ 31.30, I 41
- 2θ 34.38, I 100
- 2θ 37.26, I 18
- 2θ 39.84, I 22
- 2θ 42.46, I 39
- 2θ 49.39, I 27
- 2θ 55.72, I 31
- 2θ 67.09, I 15
- 2θ 67.17, I 23

Atomic structure:
```
Tm3Mg3AlCdHg
1.0
7.373 0.000 0.000
-3.686 6.385 0.000
0.000 0.000 4.526
Tm Mg Al Cd Hg
3 3 1 1 1
Direct
0.093 0.750 0.000
0.250 0.343 0.000
0.657 0.907 0.000
0.424 0.088 0.500
0.663 0.576 0.500
0.912 0.337 0.500
0.333 0.667 0.500
0.000 0.000 0.500
0.667 0.333 0.000
```



4.
Starting from a structure optimized by DFT (GGA-PBE), the powder diffractogram of Dy3Mg2SnPdPt2 was simulated for CuKα.
Intensities are scaled so that the largest is 100.

Largest 12 diffraction maxima, by angle, 2θ = 10–90°:
- 2θ 13.58, I 32
- 2θ 23.73, I 24
- 2θ 32.70, I 23
- 2θ 32.83, I 100
- 2θ 35.60, I 100
- 2θ 35.75, I 23
- 2θ 36.36, I 18
- 2θ 41.53, I 27
- 2θ 41.83, I 20
- 2θ 43.30, I 26
- 2θ 45.62, I 30
- 2θ 63.38, I 15

Atomic structure:
```
Dy3Mg2SnPdPt2
1.0
3.977 0.000 0.000
0.000 6.478 3.775
0.000 -6.478 3.775
Dy Mg Sn Pd Pt
3 2 1 1 2
Direct
0.000 0.000 0.000
0.000 0.170 0.579
0.000 0.579 0.170
0.500 0.582 0.831
0.500 0.831 0.582
0.500 0.338 0.338
0.000 0.594 0.594
0.500 0.244 0.906
0.500 0.906 0.244
```



5.
Starting from a structure optimized by DFT (GGA-PBE), the powder diffractogram of Sr2Re2NO5 was simulated for CuKα.
Intensities are scaled so that the largest is 100.

Largest 12 diffraction maxima, by angle, 2θ = 10–90°:
- 2θ 22.35, I 23
- 2θ 22.60, I 12
- 2θ 31.82, I 50
- 2θ 32.00, I 100
- 2θ 45.62, I 29
- 2θ 46.15, I 13
- 2θ 56.81, I 40
- 2θ 57.15, I 18
- 2θ 66.50, I 9
- 2θ 66.91, I 17
- 2θ 75.66, I 18
- 2θ 84.75, I 9

Atomic structure:
```
Sr2Re2NO5
1.0
3.977 0.000 0.000
0.000 3.977 0.000
0.000 0.000 7.867
Sr Re N O
2 2 1 5
Direct
0.000 0.000 0.000
0.000 0.000 0.500
0.500 0.500 0.238
0.500 0.500 0.762
0.500 0.500 0.000
0.000 0.500 0.256
0.000 0.500 0.744
0.500 0.000 0.256
0.500 0.000 0.744
0.500 0.500 0.500
```



6.
Starting from a structure optimized by DFT (GGA-PBE), the powder diffractogram of SmGd2Al7Cu2 was simulated for CuKα.
Intensities are scaled so that the largest is 100.

Largest 12 diffraction maxima, by angle, 2θ = 10–90°:
- 2θ 18.83, I 39
- 2θ 20.78, I 30
- 2θ 30.72, I 50
- 2θ 32.35, I 88
- 2θ 33.63, I 33
- 2θ 37.70, I 27
- 2θ 38.76, I 100
- 2θ 56.68, I 18
- 2θ 57.70, I 17
- 2θ 62.01, I 25
- 2θ 64.00, I 27
- 2θ 67.72, I 19

Atomic structure:
```
SmGd2Al7Cu2
1.0
2.767 1.598 8.548
-2.767 1.598 8.548
0.000 -3.195 8.548
Sm Gd Al Cu
1 2 7 2
Direct
0.000 0.000 0.000
0.142 0.142 0.142
0.858 0.858 0.858
0.072 0.581 0.581
0.419 0.419 0.928
0.419 0.928 0.419
0.500 0.500 0.500
0.581 0.072 0.581
0.581 0.581 0.072
0.928 0.419 0.419
0.335 0.335 0.335
0.665 0.665 0.665
```



Copy entry 2 word for word.
Starting from a structure optimized by DFT (GGA-PBE), the powder diffractogram of TbEr2Cd3Au3 was simulated for CuKα.
Intensities are scaled so that the largest is 100.

Largest 12 diffraction maxima, by angle, 2θ = 10–90°:
- 2θ 22.86, I 10
- 2θ 26.40, I 12
- 2θ 32.52, I 70
- 2θ 35.22, I 100
- 2θ 40.11, I 16
- 2θ 40.23, I 32
- 2θ 42.41, I 34
- 2θ 46.55, I 21
- 2θ 59.72, I 11
- 2θ 63.15, I 25
- 2θ 64.89, I 21
- 2θ 65.06, I 10

Atomic structure:
```
TbEr2Cd3Au3
1.0
3.902 0.000 0.000
0.000 6.744 3.879
0.000 -6.744 3.879
Tb Er Cd Au
1 2 3 3
Direct
0.000 0.000 0.000
0.000 0.403 0.806
0.000 0.806 0.403
0.500 0.140 0.403
0.500 0.403 0.140
0.500 0.665 0.665
0.000 0.404 0.404
0.500 0.070 0.734
0.500 0.734 0.070
```